For DyPtF7, a GGA-PBE-relaxed structure gives the simulated powder diffraction line list in this record (copper Kα).
No peak broadening, texture or thermal motion is included.

Atomic structure:
```
36
Lattice="8.8911 0.0000 0.0000 0.0000 5.5493 0.0000 -5.5542 0.0000 10.6375" Properties=species:S:1:pos:R:3 pbc="T T T"
Dy 0.1868 1.3269 2.8118
Dy -2.5903 1.4478 8.1306
Dy 5.9272 4.1015 2.5069
Dy 3.1501 4.2225 7.8256
Pt 2.1830 4.1133 0.4575
Pt -0.5941 4.2107 5.7762
Pt 3.9310 1.3386 4.8613
Pt 1.1539 1.4360 10.1800
F -5.0654 4.1375 10.1011
F -2.2883 4.1865 4.7824
F -3.8004 3.2466 7.7925
F -1.0234 5.0775 2.4737
F 1.2872 3.0629 1.8650
F -1.4899 5.2611 7.1838
F 1.6872 0.1898 1.4470
F -1.0899 2.5849 6.7657
F -0.0696 0.3314 4.8648
F -2.8467 2.4433 10.1835
F 0.3291 3.1293 4.4180
F -2.4479 5.1947 9.7367
F 2.2629 1.2527 3.8158
F -0.5142 1.5220 9.1345
F 3.8511 4.0274 1.5030
F 1.0740 4.2967 6.8217
F 5.7848 0.3547 0.9008
F 3.0078 2.4200 6.2195
F 6.1836 3.1060 0.4540
F 3.4065 5.2180 5.7727
F 4.4268 2.9645 3.8717
F 1.6497 5.3595 9.1905
F 4.8268 0.2882 3.4537
F 2.0497 2.4864 8.7725
F 4.3603 0.4719 8.1638
F 7.1373 2.3028 2.8450
F 5.6252 1.3628 5.8551
F 8.4023 1.4118 0.5364
```

Largest 10 diffraction maxima, in order of rising 2θ, 10° ≤ 2θ ≤ 90°:
2θ (°), I/Imax, index
22.10, 100, 1 1 -2
22.56, 42, 2 0 0
23.16, 15, 0 1 2
26.45, 17, 2 1 -2
29.07, 34, 1 1 2
30.10, 16, 1 0 -4
32.26, 17, 0 2 0
44.69, 14, 1 2 -4
45.05, 16, 3 0 2
48.38, 17, 2 1 -6